Entry 1:
The following is a theoretical XRD peak list of Nd4Ru2Br5. It was derived from DFT lattice parameters and positions (PBE), using Cu Kα (weighted mean of Kα1 and Kα2).
Neutral-atom scattering factors, no anomalous dispersion.

Crystal structure
```
data_Nd4Ru2Br5
_cell_length_a 4.1921
_cell_length_b 8.3706
_cell_length_c 19.2411
_cell_angle_alpha 90.00
_cell_angle_beta 90.00
_cell_angle_gamma 90.00
_symmetry_space_group_name_H-M 'I m m m'
_symmetry_Int_Tables_number 71
_symmetry_space_group_name_Hall '-I 2 2'
loop_
_atom_site_label
_atom_site_fract_x
_atom_site_fract_y
_atom_site_fract_z
Nd1 0.0000 0.0000 0.1860
Nd2 0.0000 0.2830 0.5000
Ru1 0.0000 0.0000 0.0621
Br1 0.0000 0.2279 0.3277
Br2 0.0000 0.5000 0.0000
```

Peak list (10 most intense, 2θ from 10° to 80°, by angle)
h k l, 2theta, I/Imax
0 1 1, 11.53, 52
1 1 0, 23.74, 24
0 0 6, 27.82, 29
1 2 1, 30.54, 100
0 3 3, 35.07, 18
1 2 5, 38.35, 46
2 0 0, 43.19, 39
1 1 8, 44.78, 28
2 0 6, 52.16, 17
1 5 8, 72.38, 14

=====

Entry 2:
The following is a theoretical XRD peak list of SrLaMg2Pd. It was derived from DFT lattice parameters and positions (PBE), using Cu Kα (weighted mean of Kα1 and Kα2).
Neutral-atom scattering factors, no anomalous dispersion.

Crystal structure
```
data_SrLaMg2Pd
_cell_length_a 5.3735
_cell_length_b 5.3735
_cell_length_c 5.4084
_cell_angle_alpha 90.00
_cell_angle_beta 90.00
_cell_angle_gamma 90.00
_symmetry_space_group_name_H-M 'P 4/m m m'
_symmetry_Int_Tables_number 123
_symmetry_space_group_name_Hall '-P 4 2'
loop_
_atom_site_label
_atom_site_fract_x
_atom_site_fract_y
_atom_site_fract_z
Sr1 0.0000 0.0000 0.0000
La1 0.5000 0.5000 0.0000
Mg1 0.0000 0.5000 0.5000
Pd1 0.5000 0.5000 0.5000
```

Peak list (10 most intense, 2θ from 10° to 80°, by angle)
h k l, 2theta, I/Imax
1 0 0, 16.50, 65
1 1 0, 23.41, 100
1 1 1, 28.71, 39
0 0 2, 33.13, 35
2 0 0, 33.35, 69
1 1 2, 40.96, 42
2 0 2, 47.72, 50
2 2 0, 47.88, 25
2 2 2, 59.46, 26
3 1 2, 64.80, 21